[1]
Diffraction record for HoPaO. The powder diffractogram is computed, not measured: it uses a crystal structure in Alexandria, relaxed with GGA-PBE and Cu Ka.
No peak broadening, texture or thermal motion is included.

Structural model:
a b c (Å): 3.2643 3.2643 12.3950
angles (deg): 90.00 90.00 120.00
Space group P-6m2 (No. 187)
Unique sites:
Ho 0.0000 0.0000 0.2324 x2
Pa 0.0000 0.0000 0.5000 x1
Pa 0.6667 0.3333 0.0000 x1
O 0.6667 0.3333 0.3588 x2

Largest 10 diffraction maxima, by angle, 2θ = 10–90°:
index  d [Å]  I (rel.)
0 0 4  3.099  70
1 0 0  2.827  75
1 0 1  2.756  71
1 0 2  2.572  39
1 0 3  2.333  100
1 0 4  2.088  58
1 1 0  1.632  42
1 0 7  1.501  33
1 1 4  1.444  46
1 1 8  1.124  18


[2]
Diffraction record for Zr4NbOs5. The powder diffractogram is computed, not measured: it uses a crystal structure in Alexandria, relaxed with GGA-PBE and Cu Ka.
No peak broadening, texture or thermal motion is included.

Structural model:
a b c (Å): 3.2705 3.2705 16.2939
angles (deg): 90.00 90.00 90.00
Space group P4/mmm (No. 123)
Unique sites:
Zr 0.0000 0.0000 0.1010 x2
Zr 0.0000 0.0000 0.3027 x2
Nb 0.0000 0.0000 0.5000 x1
Os 0.5000 0.5000 0.0000 x1
Os 0.5000 0.5000 0.2025 x2
Os 0.5000 0.5000 0.4054 x2

Largest 10 diffraction maxima, by angle, 2θ = 10–90°:
index  d [Å]  I (rel.)
1 0 0  3.271  9
0 0 5  3.259  4
1 1 0  2.310  100
1 1 5  1.886  4
2 0 0  1.635  12
0 0 10  1.629  5
2 1 0  1.462  4
2 1 5  1.334  23
1 1 10  1.332  11
2 0 10  1.154  7


[3]
Diffraction record for PrSm. The powder diffractogram is computed, not measured: it uses a crystal structure in Alexandria, relaxed with GGA-PBE and Cu Ka.
No peak broadening, texture or thermal motion is included.

Structural model:
a b c (Å): 3.6178 18.7987 6.2566
angles (deg): 90.00 90.00 90.00
Space group Imm2 (No. 44)
Unique sites:
Pr 0.0000 0.0000 0.0000 x2
Pr 0.0000 0.1592 0.3344 x4
Sm 0.0000 0.3414 0.3341 x4
Sm 0.0000 0.5000 0.0015 x2

Largest 10 diffraction maxima, by angle, 2θ = 10–90°:
index  d [Å]  I (rel.)
0 6 0  3.132  100
1 2 1  2.970  75
1 4 1  2.606  85
0 6 2  2.215  36
2 0 0  1.808  32
1 10 1  1.612  27
2 6 0  1.566  49
0 4 4  1.485  15
2 6 2  1.401  15
2 12 0  1.184  16


[4]
Diffraction record for Ba2PaBiO6. The powder diffractogram is computed, not measured: it uses a crystal structure in Alexandria, relaxed with GGA-PBE and Cu Ka.
No peak broadening, texture or thermal motion is included.

Structural model:
a b c (Å): 4.5297 4.5297 8.9648
angles (deg): 90.00 90.00 90.00
Space group P4/mmm (No. 123)
Unique sites:
Ba 0.0000 0.0000 0.2232 x2
Pa 0.5000 0.5000 0.5000 x1
Bi 0.5000 0.5000 0.0000 x1
O 0.0000 0.5000 0.0000 x2
O 0.0000 0.5000 0.5000 x2
O 0.5000 0.5000 0.2669 x2

Largest 10 diffraction maxima, by angle, 2θ = 10–90°:
index  d [Å]  I (rel.)
1 0 0  4.530  11
1 1 0  3.203  53
1 0 2  3.186  100
2 0 0  2.265  30
0 0 4  2.241  12
2 1 2  1.846  44
1 1 4  1.836  19
2 0 4  1.593  16
3 1 0  1.432  20
3 2 2  1.210  12


[5]
Diffraction record for CaHoSb2O6. The powder diffractogram is computed, not measured: it uses a crystal structure in Alexandria, relaxed with GGA-PBE and Cu Ka.
No peak broadening, texture or thermal motion is included.

Structural model:
a b c (Å): 8.2827 6.1494 5.6093
angles (deg): 90.00 90.00 90.00
Space group Pmn2_1 (No. 31)
Unique sites:
Ca 0.0000 0.2022 0.0000 x2
Ho 0.0000 0.6744 0.5403 x2
Sb 0.2455 0.7502 0.0065 x4
O 0.0000 0.3258 0.3865 x2
O 0.0000 0.8104 0.1576 x2
O 0.1731 0.4705 0.8231 x4
O 0.1842 0.9070 0.6878 x4

Largest 10 diffraction maxima, by angle, 2θ = 10–90°:
index  d [Å]  I (rel.)
1 1 0  4.937  15
1 0 1  4.644  13
0 2 0  3.075  22
2 1 1  2.929  100
0 0 2  2.805  21
4 0 0  2.072  31
2 3 1  1.746  13
4 0 2  1.666  11
2 1 3  1.642  23
6 1 1  1.310  13


[6]
Diffraction record for Pr5Ho4Er4. The powder diffractogram is computed, not measured: it uses a crystal structure in Alexandria, relaxed with GGA-PBE and Cu Ka.
No peak broadening, texture or thermal motion is included.

Structural model:
a b c (Å): 12.9652 12.9652 5.0730
angles (deg): 90.00 90.00 90.00
Space group I4/m (No. 87)
Unique sites:
Pr 0.0000 0.0000 0.0000 x2
Pr 0.0385 0.1960 0.5000 x8
Ho 0.1552 0.7665 0.0000 x8
Er 0.0752 0.3867 0.0000 x8

Largest 10 diffraction maxima, by angle, 2θ = 10–90°:
index  d [Å]  I (rel.)
3 2 1  2.934  100
0 0 2  2.541  51
1 5 2  1.796  36
8 1 1  1.533  28
3 2 3  1.530  14
6 4 2  1.467  12
9 6 1  1.167  6
8 1 3  1.165  12
2 10 2  1.137  11
1 5 4  1.135  5


[7]
Diffraction record for MnCuS2. The powder diffractogram is computed, not measured: it uses a crystal structure in Alexandria, relaxed with GGA-PBE and Cu Ka.
No peak broadening, texture or thermal motion is included.

Structural model:
a b c (Å): 5.4570 11.0033 5.2358
angles (deg): 90.00 90.00 90.00
Space group Ibam (No. 72)
Unique sites:
Mn 0.0000 0.0000 0.2500 x4
Cu 0.0000 0.5000 0.2500 x4
S 0.2272 0.1155 0.0000 x8

Largest 10 diffraction maxima, by angle, 2θ = 10–90°:
index  d [Å]  I (rel.)
0 2 0  5.502  100
1 2 1  3.114  24
2 2 0  2.444  19
0 2 2  2.364  18
2 4 0  1.937  23
0 4 2  1.896  22
2 0 2  1.889  21
2 2 2  1.787  18
2 8 2  1.112  6
4 4 2  1.107  6


[8]
Diffraction record for NdPt6Au. The powder diffractogram is computed, not measured: it uses a crystal structure in Alexandria, relaxed with GGA-PBE and Cu Ka.
No peak broadening, texture or thermal motion is included.

Structural model:
a b c (Å): 5.2549 5.2549 5.2549
angles (deg): 90.00 90.00 90.00
Space group Pm-3 (No. 200)
Unique sites:
Nd 0.0000 0.0000 0.0000 x1
Pt 0.0000 0.2550 0.5000 x6
Au 0.5000 0.5000 0.5000 x1

Largest 10 diffraction maxima, by angle, 2θ = 10–90°:
index  d [Å]  I (rel.)
2 0 0  2.627  31
2 0 1  2.350  100
2 1 1  2.145  69
2 2 2  1.517  10
3 2 0  1.457  23
3 2 1  1.404  36
4 0 0  1.314  15
4 2 0  1.175  10
4 1 2  1.147  21
3 3 2  1.120  9


[9]
Diffraction record for SmSb2Pd2. The powder diffractogram is computed, not measured: it uses a crystal structure in Alexandria, relaxed with GGA-PBE and Cu Ka.
No peak broadening, texture or thermal motion is included.

Structural model:
a b c (Å): 4.5795 4.5188 10.9645
angles (deg): 90.00 90.07 90.00
Space group P2_1/m (No. 11)
Unique sites:
Sm 0.2474 0.2500 0.2314 x2
Sb 0.2500 0.7500 0.4971 x2
Sb 0.2547 0.2500 0.8703 x2
Pd 0.2445 0.7500 0.0021 x2
Pd 0.2504 0.2500 0.6350 x2

Largest 10 diffraction maxima, by angle, 2θ = 10–90°:
index  d [Å]  I (rel.)
1 0 3  2.857  25
0 1 3  2.842  29
1 1 -2  2.774  100
2 0 0  2.290  34
0 2 0  2.259  33
1 1 4  2.086  29
1 0 -5  1.978  14
2 1 -3  1.783  14
1 2 3  1.772  12
2 2 0  1.608  23


[10]
Diffraction record for TbZnPt2. The powder diffractogram is computed, not measured: it uses a crystal structure in Alexandria, relaxed with GGA-PBE and Cu Ka.
No peak broadening, texture or thermal motion is included.

Structural model:
a b c (Å): 3.5096 3.5096 5.9298
angles (deg): 90.00 90.00 90.00
Space group P4/mmm (No. 123)
Unique sites:
Tb 0.0000 0.0000 0.0000 x1
Zn 0.0000 0.0000 0.5000 x1
Pt 0.5000 0.5000 0.2721 x2

Largest 10 diffraction maxima, by angle, 2θ = 10–90°:
index  d [Å]  I (rel.)
1 0 0  3.510  10
1 0 1  3.020  12
1 1 0  2.482  68
1 0 2  2.265  100
2 0 0  1.755  24
2 1 2  1.387  42
1 1 4  1.273  14
2 2 0  1.241  8
2 0 4  1.132  10
3 1 0  1.110  11


[11]
Diffraction record for KHg2PtBr8. The powder diffractogram is computed, not measured: it uses a crystal structure in Alexandria, relaxed with GGA-PBE and Cu Ka.
No peak broadening, texture or thermal motion is included.

Structural model:
a b c (Å): 6.5682 7.2844 9.6927
angles (deg): 70.56 85.74 83.81
Space group P-1 (No. 2)
Unique sites:
K 0.0000 0.0000 0.0000 x1
Hg 0.4334 0.4551 0.3129 x2
Pt 0.0000 0.0000 0.5000 x1
Br 0.1751 0.2070 0.2725 x2
Br 0.2210 0.0900 0.6612 x2
Br 0.2625 0.6836 0.5026 x2
Br 0.4572 0.7365 0.0682 x2

Largest 10 diffraction maxima, by angle, 2θ = 10–90°:
index  d [Å]  I (rel.)
1 0 1  5.415  23
1 1 0  4.945  54
1 -1 0  4.533  100
-1 1 1  4.399  32
1 1 -1  3.930  24
1 2 2  3.097  28
1 1 -2  2.980  29
-1 2 2  2.822  24
2 1 2  2.784  39
1 0 -3  2.717  20